Theoretical powder diffraction line list of PuGaRh for Cu Kα X-rays, from DFT lattice parameters and positions (PBE).
Intensities are scaled so that the largest is 100.

Crystal structure
a b c (Å): 6.956 6.956 3.938
angles (deg): 90.00 90.00 120.00
Fractional coordinates of all 9 atoms:
Pu  0.000  0.414  0.000
Pu  0.414  0.000  0.000
Pu  0.586  0.586  0.000
Ga  0.000  0.752  0.500
Ga  0.248  0.248  0.500
Ga  0.752  0.000  0.500
Rh  0.000  0.000  0.000
Rh  0.333  0.667  0.500
Rh  0.667  0.333  0.500

Main lines, most intense first (10 to 90 degrees two-theta):
- 2θ 34.40, d 2.607, I = 100
- 2θ 37.59, d 2.393, I = 94
- 2θ 46.08, d 1.970, I = 39
- 2θ 39.58, d 2.277, I = 37
- 2θ 60.16, d 1.538, I = 31
- 2θ 72.48, d 1.304, I = 26
- 2θ 29.66, d 3.012, I = 23
- 2θ 54.96, d 1.671, I = 21

=====

Theoretical powder diffraction line list of RbGa7 for Cu Kα X-rays, from DFT lattice parameters and positions (PBE).
Intensities are scaled so that the largest is 100.

Crystal structure
a b c (Å): 10.352 10.352 10.352
angles (deg): 38.12 38.12 38.12
Fractional coordinates of all 16 atoms:
Rb  0.196  0.196  0.196
Rb  0.804  0.804  0.804
Ga  0.182  0.182  0.582
Ga  0.182  0.582  0.182
Ga  0.202  0.784  0.784
Ga  0.216  0.216  0.798
Ga  0.216  0.798  0.216
Ga  0.418  0.818  0.818
Ga  0.456  0.456  0.456
Ga  0.544  0.544  0.544
Ga  0.582  0.182  0.182
Ga  0.784  0.202  0.784
Ga  0.784  0.784  0.202
Ga  0.798  0.216  0.216
Ga  0.818  0.418  0.818
Ga  0.818  0.818  0.418

Main lines, most intense first (10 to 90 degrees two-theta):
- 2θ 29.15, d 3.064, I = 100
- 2θ 27.99, d 3.188, I = 79
- 2θ 43.82, d 2.066, I = 64
- 2θ 31.18, d 2.869, I = 63
- 2θ 47.55, d 1.912, I = 49
- 2θ 44.14, d 2.052, I = 44
- 2θ 46.58, d 1.950, I = 42
- 2θ 54.28, d 1.690, I = 36

=====

Theoretical powder diffraction line list of RbGa3 for Cu Kα X-rays, from DFT lattice parameters and positions (PBE).
Intensities are scaled so that the largest is 100.

Crystal structure
a b c (Å): 8.855 8.855 8.855
angles (deg): 137.45 137.45 61.74
Fractional coordinates of all 12 atoms:
Rb  0.000  0.000  0.000
Rb  0.128  0.628  0.500
Rb  0.372  0.872  0.500
Ga  0.016  0.223  0.793
Ga  0.085  0.391  0.694
Ga  0.431  0.223  0.207
Ga  0.500  0.500  0.000
Ga  0.609  0.303  0.694
Ga  0.609  0.915  0.306
Ga  0.697  0.391  0.306
Ga  0.777  0.569  0.793
Ga  0.777  0.984  0.207

Main lines, most intense first (10 to 90 degrees two-theta):
- 2θ 30.67, d 2.915, I = 100
- 2θ 31.69, d 2.824, I = 94
- 2θ 27.77, d 3.213, I = 41
- 2θ 45.60, d 1.989, I = 30
- 2θ 32.58, d 2.748, I = 30
- 2θ 46.25, d 1.963, I = 29
- 2θ 14.97, d 5.918, I = 29
- 2θ 41.49, d 2.177, I = 22

=====

Theoretical powder diffraction line list of RbGaSnSe4 for Cu Kα X-rays, from DFT lattice parameters and positions (PBE).
Intensities are scaled so that the largest is 100.

Crystal structure
a b c (Å): 7.712 13.191 18.698
angles (deg): 90.00 95.72 90.00
Fractional coordinates of all 56 atoms:
Rb  0.230  0.067  0.333
Rb  0.230  0.433  0.833
Rb  0.248  0.107  0.951
Rb  0.248  0.393  0.451
Rb  0.752  0.607  0.549
Rb  0.752  0.893  0.049
Rb  0.770  0.567  0.167
Rb  0.770  0.933  0.667
Ga  0.015  0.746  0.343
Ga  0.015  0.754  0.843
Ga  0.473  0.248  0.145
Ga  0.473  0.252  0.645
Ga  0.527  0.748  0.355
Ga  0.527  0.752  0.855
Ga  0.985  0.246  0.157
Ga  0.985  0.254  0.657
Sn  0.259  0.703  0.683
Sn  0.259  0.797  0.183
Sn  0.278  0.684  0.014
Sn  0.278  0.816  0.514
Sn  0.722  0.184  0.486
Sn  0.722  0.316  0.986
Sn  0.741  0.203  0.817
Sn  0.741  0.297  0.317
Se  0.018  0.617  0.934
Se  0.018  0.883  0.434
Se  0.036  0.162  0.774
Se  0.036  0.338  0.274
Se  0.229  0.132  0.146
Se  0.229  0.368  0.646
Se  0.250  0.627  0.552
Se  0.250  0.873  0.052
Se  0.271  0.639  0.347
Se  0.271  0.861  0.847
Se  0.285  0.609  0.143
Se  0.285  0.891  0.643
Se  0.426  0.151  0.531
Se  0.426  0.349  0.031
Se  0.484  0.124  0.742
Se  0.484  0.376  0.242
Se  0.516  0.624  0.758
Se  0.516  0.876  0.258
Se  0.574  0.651  0.969
Se  0.574  0.849  0.469
Se  0.715  0.109  0.357
Se  0.715  0.391  0.857
Se  0.729  0.139  0.153
Se  0.729  0.361  0.653
Se  0.750  0.127  0.948
Se  0.750  0.373  0.448
Se  0.771  0.632  0.354
Se  0.771  0.868  0.854
Se  0.964  0.662  0.726
Se  0.964  0.838  0.226
Se  0.982  0.117  0.566
Se  0.982  0.383  0.066

Main lines, most intense first (10 to 90 degrees two-theta):
- 2θ 27.52, d 3.241, I = 100
- 2θ 13.39, d 6.612, I = 99
- 2θ 25.12, d 3.545, I = 48
- 2θ 26.89, d 3.316, I = 46
- 2θ 24.82, d 3.587, I = 40
- 2θ 27.04, d 3.298, I = 28
- 2θ 42.14, d 2.144, I = 27
- 2θ 44.99, d 2.015, I = 25

=====

Theoretical powder diffraction line list of GaRe for Cu Kα X-rays, from DFT lattice parameters and positions (PBE).
Intensities are scaled so that the largest is 100.

Crystal structure
a b c (Å): 2.892 2.892 4.127
angles (deg): 90.00 90.00 120.00
Fractional coordinates of all 2 atoms:
Ga  0.000  0.000  0.000
Re  0.667  0.333  0.500

Main lines, most intense first (10 to 90 degrees two-theta):
- 2θ 42.21, d 2.141, I = 100
- 2θ 35.86, d 2.504, I = 38
- 2θ 21.53, d 4.127, I = 21
- 2θ 57.91, d 1.593, I = 20
- 2θ 43.88, d 2.063, I = 19
- 2θ 81.24, d 1.184, I = 19
- 2θ 64.44, d 1.446, I = 18
- 2θ 79.49, d 1.206, I = 16

=====

Theoretical powder diffraction line list of Ga3Re for Cu Kα X-rays, from DFT lattice parameters and positions (PBE).
Intensities are scaled so that the largest is 100.

Crystal structure
a b c (Å): 6.554 6.554 7.099
angles (deg): 90.00 90.00 90.00
Fractional coordinates of all 16 atoms:
Ga  0.000  0.500  0.000
Ga  0.000  0.500  0.500
Ga  0.162  0.162  0.248
Ga  0.162  0.162  0.752
Ga  0.338  0.662  0.252
Ga  0.338  0.662  0.748
Ga  0.500  0.000  0.000
Ga  0.500  0.000  0.500
Ga  0.662  0.338  0.252
Ga  0.662  0.338  0.748
Ga  0.838  0.838  0.248
Ga  0.838  0.838  0.752
Re  0.144  0.856  0.000
Re  0.356  0.356  0.500
Re  0.644  0.644  0.500
Re  0.856  0.144  0.000

Main lines, most intense first (10 to 90 degrees two-theta):
- 2θ 39.89, d 2.260, I = 100
- 2θ 18.43, d 4.815, I = 72
- 2θ 22.92, d 3.880, I = 41
- 2θ 43.68, d 2.072, I = 39
- 2θ 40.97, d 2.203, I = 22
- 2θ 69.77, d 1.348, I = 19
- 2θ 43.34, d 2.088, I = 18
- 2θ 84.08, d 1.151, I = 16

=====

Theoretical powder diffraction line list of GaRh for Cu Kα X-rays, from DFT lattice parameters and positions (PBE).
Intensities are scaled so that the largest is 100.

Crystal structure
a b c (Å): 3.043 3.043 3.043
angles (deg): 90.00 90.00 90.00
Fractional coordinates of all 2 atoms:
Ga  0.000  0.000  0.000
Rh  0.500  0.500  0.500

Main lines, most intense first (10 to 90 degrees two-theta):
- 2θ 41.99, d 2.152, I = 100
- 2θ 76.72, d 1.242, I = 32
- 2θ 60.89, d 1.521, I = 16
- 2θ 29.35, d 3.043, I = 4
- 2θ 69.02, d 1.361, I = 1
- 2θ 52.06, d 1.757, I = 1

=====

Theoretical powder diffraction line list of Ga21Rh4 for Cu Kα X-rays, from DFT lattice parameters and positions (PBE).
Intensities are scaled so that the largest is 100.

Crystal structure
a b c (Å): 20.549 20.549 6.571
angles (deg): 90.00 90.00 18.39
Fractional coordinates of all 50 atoms:
Ga  0.000  0.000  0.000
Ga  0.007  0.298  0.645
Ga  0.043  0.365  0.339
Ga  0.063  0.765  0.352
Ga  0.114  0.818  0.648
Ga  0.121  0.121  0.000
Ga  0.135  0.457  0.161
Ga  0.182  0.886  0.648
Ga  0.202  0.493  0.855
Ga  0.235  0.937  0.352
Ga  0.243  0.243  0.000
Ga  0.257  0.257  0.500
Ga  0.265  0.563  0.852
Ga  0.298  0.007  0.355
Ga  0.318  0.614  0.148
Ga  0.365  0.043  0.661
Ga  0.379  0.379  0.500
Ga  0.386  0.682  0.148
Ga  0.437  0.735  0.852
Ga  0.457  0.135  0.839
Ga  0.493  0.202  0.145
Ga  0.500  0.500  0.500
Ga  0.507  0.798  0.855
Ga  0.543  0.865  0.161
Ga  0.563  0.265  0.148
Ga  0.614  0.318  0.852
Ga  0.621  0.621  0.500
Ga  0.635  0.957  0.339
Ga  0.682  0.386  0.852
Ga  0.702  0.993  0.645
Ga  0.735  0.437  0.148
Ga  0.743  0.743  0.500
Ga  0.757  0.757  0.000
Ga  0.765  0.063  0.648
Ga  0.798  0.507  0.145
Ga  0.818  0.114  0.352
Ga  0.865  0.543  0.839
Ga  0.879  0.879  0.000
Ga  0.886  0.182  0.352
Ga  0.937  0.235  0.648
Ga  0.957  0.635  0.661
Ga  0.993  0.702  0.355
Rh  0.060  0.060  0.000
Rh  0.182  0.182  0.000
Rh  0.318  0.318  0.500
Rh  0.440  0.440  0.500
Rh  0.560  0.560  0.500
Rh  0.682  0.682  0.500
Rh  0.818  0.818  0.000
Rh  0.940  0.940  0.000

Main lines, most intense first (10 to 90 degrees two-theta):
- 2θ 43.63, d 2.074, I = 100
- 2θ 42.59, d 2.123, I = 72
- 2θ 45.18, d 2.007, I = 47
- 2θ 31.72, d 2.821, I = 42
- 2θ 40.69, d 2.217, I = 40
- 2θ 32.41, d 2.763, I = 37
- 2θ 42.24, d 2.139, I = 36
- 2θ 38.77, d 2.322, I = 35

=====

Theoretical powder diffraction line list of Ga3Rh for Cu Kα X-rays, from DFT lattice parameters and positions (PBE).
Intensities are scaled so that the largest is 100.

Crystal structure
a b c (Å): 5.413 5.413 4.938
angles (deg): 90.00 90.00 120.00
Fractional coordinates of all 8 atoms:
Ga  0.171  0.341  0.250
Ga  0.171  0.829  0.250
Ga  0.341  0.171  0.750
Ga  0.659  0.829  0.250
Ga  0.829  0.171  0.750
Ga  0.829  0.659  0.750
Rh  0.333  0.667  0.750
Rh  0.667  0.333  0.250

Main lines, most intense first (10 to 90 degrees two-theta):
- 2θ 42.70, d 2.117, I = 100
- 2θ 36.39, d 2.469, I = 35
- 2θ 38.41, d 2.344, I = 23
- 2θ 69.82, d 1.347, I = 22
- 2θ 81.03, d 1.187, I = 19
- 2θ 53.94, d 1.700, I = 16
- 2θ 69.46, d 1.353, I = 15
- 2θ 85.08, d 1.140, I = 13

=====

Theoretical powder diffraction line list of Ga3Rh for Cu Kα X-rays, from DFT lattice parameters and positions (PBE).
Intensities are scaled so that the largest is 100.

Crystal structure
a b c (Å): 6.540 6.540 6.706
angles (deg): 90.00 90.00 90.00
Fractional coordinates of all 16 atoms:
Ga  0.000  0.500  0.000
Ga  0.000  0.500  0.500
Ga  0.152  0.152  0.240
Ga  0.152  0.152  0.760
Ga  0.348  0.652  0.260
Ga  0.348  0.652  0.740
Ga  0.500  0.000  0.000
Ga  0.500  0.000  0.500
Ga  0.652  0.348  0.260
Ga  0.652  0.348  0.740
Ga  0.848  0.848  0.240
Ga  0.848  0.848  0.760
Rh  0.159  0.841  0.000
Rh  0.341  0.341  0.500
Rh  0.659  0.659  0.500
Rh  0.841  0.159  0.000

Main lines, most intense first (10 to 90 degrees two-theta):
- 2θ 40.94, d 2.204, I = 100
- 2θ 43.77, d 2.068, I = 50
- 2θ 18.95, d 4.682, I = 39
- 2θ 23.36, d 3.807, I = 28
- 2θ 72.59, d 1.302, I = 20
- 2θ 33.00, d 2.715, I = 20
- 2θ 84.92, d 1.142, I = 20
- 2θ 54.75, d 1.677, I = 14

=====

Theoretical powder diffraction line list of Ga2RuRh for Cu Kα X-rays, from DFT lattice parameters and positions (PBE).
Intensities are scaled so that the largest is 100.

Crystal structure
a b c (Å): 6.063 6.063 6.063
angles (deg): 90.00 90.00 90.00
Fractional coordinates of all 16 atoms:
Ga  0.250  0.250  0.250
Ga  0.250  0.250  0.750
Ga  0.250  0.750  0.250
Ga  0.250  0.750  0.750
Ga  0.750  0.250  0.250
Ga  0.750  0.250  0.750
Ga  0.750  0.750  0.250
Ga  0.750  0.750  0.750
Ru  0.000  0.000  0.000
Ru  0.000  0.500  0.500
Ru  0.500  0.000  0.500
Ru  0.500  0.500  0.000
Rh  0.000  0.000  0.500
Rh  0.000  0.500  0.000
Rh  0.500  0.000  0.000
Rh  0.500  0.500  0.500

Main lines, most intense first (10 to 90 degrees two-theta):
- 2θ 42.15, d 2.144, I = 100
- 2θ 77.05, d 1.238, I = 32
- 2θ 61.14, d 1.516, I = 16
- 2θ 29.46, d 3.032, I = 4
- 2θ 69.31, d 1.356, I = 1
- 2θ 52.26, d 1.750, I = 1